Record 1
Calculated X-ray diffraction stick pattern
Compound: Ce2BiSb3
Radiation: copper Kα
Structure: the PBE geometry in Alexandria
Peak positions follow from Bragg's law for the DFT cell and can differ from measured ones.

Crystal structure
Cell lengths 4.4422, 4.4422, 8.8820 Å; angles 90.00, 90.00, 90.00 degrees
Fractional coordinates of all 6 atoms:
Ce1 0.0000 0.5000 0.2088
Ce2 0.5000 0.0000 0.7912
Bi1 0.0000 0.0000 0.5000
Sb1 0.0000 0.5000 0.8512
Sb2 0.5000 0.0000 0.1488
Sb3 0.5000 0.5000 0.5000

Principal peaks in the range 2θ from 10° to 90°, sorted by position:
| two_theta | d/Å | I_rel |
| --- | --- | --- |
| 30.18 | 2.961 | 100.0 |
| 34.99 | 2.564 | 63.9 |
| 40.62 | 2.221 | 38.9 |
| 51.43 | 1.777 | 29.3 |
| 58.80 | 1.571 | 15.1 |
| 59.81 | 1.546 | 11.9 |
| 67.51 | 1.387 | 26.6 |
| 70.28 | 1.339 | 17.3 |



Record 2
Calculated X-ray diffraction stick pattern
Compound: CuP2O6
Radiation: copper Kα
Structure: the PBE geometry in Alexandria
Peak positions follow from Bragg's law for the DFT cell and can differ from measured ones.

Crystal structure
Cell lengths 6.7252, 6.7252, 5.0094 Å; angles 104.70, 104.70, 84.37 degrees
Fractional coordinates of all 18 atoms:
Cu1 0.1164 0.8836 0.7500
Cu2 0.8836 0.1164 0.2500
P1 0.1944 0.3768 0.7543
P2 0.3768 0.1944 0.2543
P3 0.6232 0.8056 0.7457
P4 0.8056 0.6232 0.2457
O1 0.0460 0.1998 0.6477
O2 0.1094 0.5922 0.8114
O3 0.1998 0.0460 0.1477
O4 0.3412 0.3551 0.5379
O5 0.3551 0.3412 0.0379
O6 0.4078 0.8906 0.6886
O7 0.5922 0.1094 0.3114
O8 0.6449 0.6588 0.9621
O9 0.6588 0.6449 0.4621
O10 0.8002 0.9540 0.8523
O11 0.8906 0.4078 0.1886
O12 0.9540 0.8002 0.3523

Principal peaks in the range 2θ from 10° to 90°, sorted by position:
| two_theta | d/Å | I_rel |
| --- | --- | --- |
| 13.62 | 6.501 | 51.6 |
| 19.66 | 4.516 | 22.4 |
| 20.50 | 4.333 | 48.5 |
| 25.88 | 3.443 | 33.8 |
| 29.45 | 3.033 | 100.0 |
| 30.30 | 2.950 | 47.6 |
| 37.17 | 2.419 | 30.3 |
| 38.25 | 2.353 | 23.0 |



Record 3
Calculated X-ray diffraction stick pattern
Compound: Pr2Zn3GaCu12
Radiation: copper Kα
Structure: the PBE geometry in Alexandria
Peak positions follow from Bragg's law for the DFT cell and can differ from measured ones.

Crystal structure
Cell lengths 7.5948, 7.5948, 7.5948 Å; angles 64.88, 64.88, 64.88 degrees
Fractional coordinates of all 18 atoms:
Pr1 0.1021 0.1021 0.1021
Pr2 0.8979 0.8979 0.8979
Zn1 0.0000 0.5000 0.5000
Zn2 0.5000 0.0000 0.5000
Zn3 0.5000 0.5000 0.0000
Ga1 0.5000 0.5000 0.5000
Cu1 0.1431 0.1431 0.4774
Cu2 0.1431 0.4774 0.1431
Cu3 0.1490 0.6344 0.6344
Cu4 0.3656 0.3656 0.8510
Cu5 0.3656 0.8510 0.3656
Cu6 0.4774 0.1431 0.1431
Cu7 0.5226 0.8569 0.8569
Cu8 0.6344 0.1490 0.6344
Cu9 0.6344 0.6344 0.1490
Cu10 0.8510 0.3656 0.3656
Cu11 0.8569 0.5226 0.8569
Cu12 0.8569 0.8569 0.5226

Principal peaks in the range 2θ from 10° to 90°, sorted by position:
| two_theta | d/Å | I_rel |
| --- | --- | --- |
| 25.74 | 3.461 | 76.5 |
| 27.17 | 3.282 | 53.2 |
| 27.96 | 3.191 | 82.6 |
| 32.32 | 2.770 | 50.7 |
| 42.27 | 2.138 | 62.7 |
| 43.74 | 2.070 | 51.6 |
| 44.48 | 2.037 | 100.0 |
| 49.39 | 1.845 | 47.8 |



Record 4
Calculated X-ray diffraction stick pattern
Compound: La6TbDyEr2
Radiation: copper Kα
Structure: the PBE geometry in Alexandria
Peak positions follow from Bragg's law for the DFT cell and can differ from measured ones.

Crystal structure
Cell lengths 8.6467, 8.6467, 9.9765 Å; angles 101.55, 101.55, 96.36 degrees
Fractional coordinates of all 20 atoms:
La1 0.0290 0.3825 0.6378
La2 0.0374 0.7861 0.8870
La3 0.2139 0.9626 0.6130
La4 0.2416 0.5686 0.0899
La5 0.3825 0.0290 0.1378
La6 0.4314 0.7584 0.4101
La7 0.5686 0.2416 0.5899
La8 0.6175 0.9710 0.8622
La9 0.7584 0.4314 0.9101
La10 0.7861 0.0374 0.3870
La11 0.9626 0.2139 0.1130
La12 0.9710 0.6175 0.3622
Tb1 0.0836 0.9164 0.2500
Tb2 0.9164 0.0836 0.7500
Dy1 0.3994 0.6006 0.7500
Dy2 0.6006 0.3994 0.2500
Er1 0.2656 0.3421 0.3884
Er2 0.3421 0.2656 0.8884
Er3 0.6579 0.7344 0.1116
Er4 0.7344 0.6579 0.6116

Principal peaks in the range 2θ from 10° to 90°, sorted by position:
| two_theta | d/Å | I_rel |
| --- | --- | --- |
| 26.77 | 3.330 | 29.5 |
| 27.51 | 3.242 | 63.8 |
| 29.44 | 3.034 | 51.2 |
| 30.73 | 2.910 | 53.3 |
| 31.43 | 2.846 | 55.0 |
| 32.07 | 2.791 | 33.5 |
| 32.16 | 2.784 | 100.0 |
| 32.34 | 2.768 | 37.9 |



Record 5
Calculated X-ray diffraction stick pattern
Compound: ReP3Au
Radiation: copper Kα
Structure: the PBE geometry in Alexandria
Peak positions follow from Bragg's law for the DFT cell and can differ from measured ones.

Crystal structure
Cell lengths 4.6325, 4.6325, 4.6325 Å; angles 90.00, 90.00, 90.00 degrees
Fractional coordinates of all 5 atoms:
Re1 0.0000 0.0000 0.0000
P1 0.0000 0.0000 0.5000
P2 0.0000 0.5000 0.0000
P3 0.5000 0.0000 0.0000
Au1 0.5000 0.5000 0.5000

Principal peaks in the range 2θ from 10° to 90°, sorted by position:
| two_theta | d/Å | I_rel |
| --- | --- | --- |
| 27.22 | 3.276 | 100.0 |
| 38.88 | 2.316 | 36.0 |
| 48.11 | 1.891 | 44.2 |
| 56.16 | 1.638 | 24.6 |
| 63.50 | 1.465 | 19.5 |
| 70.41 | 1.337 | 8.4 |
| 77.02 | 1.238 | 22.6 |
| 89.83 | 1.092 | 12.2 |



Record 6
Calculated X-ray diffraction stick pattern
Compound: Na2Sn5Hg2Sb2
Radiation: copper Kα
Structure: the PBE geometry in Alexandria
Peak positions follow from Bragg's law for the DFT cell and can differ from measured ones.

Crystal structure
Cell lengths 18.9556, 18.9556, 18.9556 Å; angles 166.37, 166.37, 19.32 degrees
Fractional coordinates of all 11 atoms:
Na1 0.2153 0.2153 0.0000
Na2 0.7847 0.7847 0.0000
Sn1 0.0000 0.0000 0.0000
Sn2 0.1373 0.6373 0.5000
Sn3 0.3627 0.8627 0.5000
Sn4 0.6373 0.1373 0.5000
Sn5 0.8627 0.3627 0.5000
Hg1 0.2987 0.2987 0.0000
Hg2 0.7013 0.7013 0.0000
Sb1 0.0805 0.0805 0.0000
Sb2 0.9195 0.9195 0.0000

Principal peaks in the range 2θ from 10° to 90°, sorted by position:
| two_theta | d/Å | I_rel |
| --- | --- | --- |
| 20.99 | 4.232 | 53.2 |
| 23.07 | 3.855 | 45.1 |
| 29.66 | 3.012 | 54.3 |
| 34.10 | 2.630 | 49.7 |
| 37.11 | 2.423 | 100.0 |
| 40.08 | 2.250 | 49.4 |
| 53.25 | 1.720 | 22.6 |
| 70.87 | 1.330 | 26.1 |



Please write out number 5 again, unchanged.
Calculated X-ray diffraction stick pattern
Compound: ReP3Au
Radiation: copper Kα
Structure: the PBE geometry in Alexandria
Peak positions follow from Bragg's law for the DFT cell and can differ from measured ones.

Crystal structure
Cell lengths 4.6325, 4.6325, 4.6325 Å; angles 90.00, 90.00, 90.00 degrees
Fractional coordinates of all 5 atoms:
Re1 0.0000 0.0000 0.0000
P1 0.0000 0.0000 0.5000
P2 0.0000 0.5000 0.0000
P3 0.5000 0.0000 0.0000
Au1 0.5000 0.5000 0.5000

Principal peaks in the range 2θ from 10° to 90°, sorted by position:
| two_theta | d/Å | I_rel |
| --- | --- | --- |
| 27.22 | 3.276 | 100.0 |
| 38.88 | 2.316 | 36.0 |
| 48.11 | 1.891 | 44.2 |
| 56.16 | 1.638 | 24.6 |
| 63.50 | 1.465 | 19.5 |
| 70.41 | 1.337 | 8.4 |
| 77.02 | 1.238 | 22.6 |
| 89.83 | 1.092 | 12.2 |